[1]
Ba2CdOsO6: calculated powder XRD pattern (Cu Kα X-rays), based on a crystal structure in the Materials Project, relaxed with GGA-PBE.

```
Ba2CdOsO6
1.0
0.000 4.223 4.223
4.223 0.000 4.223
4.223 4.223 0.000
Ba Cd Os O
2 1 1 6
direct
0.250 0.250 0.250 Ba
0.750 0.750 0.750 Ba
0.000 0.000 0.000 Cd
0.500 0.500 0.500 Os
0.270 0.270 0.730 O
0.270 0.730 0.270 O
0.270 0.730 0.730 O
0.730 0.270 0.270 O
0.730 0.270 0.730 O
0.730 0.730 0.270 O
```

Top 6 peaks for 10° ≤ 2θ ≤ 90°, sorted by position:
29.92°, d = 2.986 Å, intensity 100
42.83°, d = 2.111 Å, intensity 28
53.13°, d = 1.724 Å, intensity 40
62.18°, d = 1.493 Å, intensity 18
70.52°, d = 1.335 Å, intensity 18
86.17°, d = 1.129 Å, intensity 22

---

[2]
Dy2TiCuO6: calculated powder XRD pattern (Cu Kα X-rays), based on a crystal structure in the Materials Project, relaxed with GGA-PBE.

```
Dy2TiCuO6
1.0
3.638 0.000 0.000
-1.819 3.151 0.000
0.000 0.000 11.368
Dy Ti Cu O
2 1 1 6
direct
0.000 0.000 0.226 Dy
0.000 0.000 0.774 Dy
0.667 0.333 0.500 Ti
0.333 0.667 0.000 Cu
0.000 0.000 0.000 O
0.000 0.000 0.500 O
0.333 0.667 0.169 O
0.333 0.667 0.831 O
0.667 0.333 0.336 O
0.667 0.333 0.664 O
```

Top 6 peaks for 10° ≤ 2θ ≤ 90°, sorted by position:
15.59°, d = 5.684 Å, intensity 34
28.33°, d = 3.151 Å, intensity 50
31.48°, d = 2.842 Å, intensity 27
32.49°, d = 2.756 Å, intensity 100
42.85°, d = 2.110 Å, intensity 31
50.15°, d = 1.819 Å, intensity 41

---

[3]
Rb5Re3S7: calculated powder XRD pattern (Cu Kα X-rays), based on a crystal structure in the Materials Project, relaxed with GGA-PBE.

```
Rb5Re3S7
1.0
10.742 0.000 0.000
5.286 9.353 0.000
5.278 3.123 8.877
Rb Re S
10 6 14
direct
0.000 0.000 0.000 Rb
0.002 0.567 0.437 Rb
0.011 0.987 0.424 Rb
0.026 0.420 0.951 Rb
0.414 0.575 0.433 Rb
0.420 0.996 0.008 Rb
0.422 0.995 0.429 Rb
0.570 0.135 0.570 Rb
0.843 0.423 0.322 Rb
0.861 0.854 0.853 Rb
0.374 0.618 0.806 Re
0.375 0.372 0.051 Re
0.376 0.619 0.052 Re
0.621 0.371 0.807 Re
0.622 0.619 0.807 Re
0.623 0.373 0.052 Re
0.159 0.608 0.041 S
0.209 0.219 0.209 S
0.213 0.775 0.650 S
0.216 0.780 0.211 S
0.386 0.380 0.814 S
0.386 0.835 0.817 S
0.388 0.382 0.266 S
0.611 0.608 0.592 S
0.612 0.156 0.042 S
0.614 0.610 0.043 S
0.777 0.206 0.653 S
0.779 0.780 0.651 S
0.782 0.220 0.213 S
0.837 0.382 0.816 S
```

Top 6 peaks for 10° ≤ 2θ ≤ 90°, sorted by position:
10.01°, d = 8.832 Å, intensity 82
10.11°, d = 8.746 Å, intensity 26
11.58°, d = 7.639 Å, intensity 100
35.16°, d = 2.552 Å, intensity 15
35.29°, d = 2.543 Å, intensity 14
47.66°, d = 1.908 Å, intensity 12

---

[4]
TbHg2: calculated powder XRD pattern (Cu Kα X-rays), based on a crystal structure in the Materials Project, relaxed with GGA-PBE.

```
TbHg2
1.0
5.376 0.000 0.000
-2.688 4.656 0.000
0.000 0.000 3.397
Tb Hg
1 2
direct
0.000 0.000 0.000 Tb
0.333 0.667 0.044 Hg
0.667 0.333 0.956 Hg
```

Top 6 peaks for 10° ≤ 2θ ≤ 90°, sorted by position:
26.24°, d = 3.397 Å, intensity 58
33.33°, d = 2.688 Å, intensity 100
42.90°, d = 2.108 Å, intensity 95
59.57°, d = 1.552 Å, intensity 19
64.95°, d = 1.436 Å, intensity 24
66.20°, d = 1.412 Å, intensity 27

---

[5]
SnCN2: calculated powder XRD pattern (Cu Kα X-rays), based on a crystal structure in the Materials Project, relaxed with GGA-PBE.

```
SnCN2
1.0
3.903 0.000 0.000
-1.952 3.380 0.000
0.000 0.000 15.204
Sn C N
3 3 6
direct
0.000 0.000 0.000 Sn
0.333 0.667 0.667 Sn
0.667 0.333 0.333 Sn
0.000 0.000 0.500 C
0.333 0.667 0.167 C
0.667 0.333 0.833 C
0.000 0.000 0.418 N
0.000 0.000 0.582 N
0.333 0.667 0.085 N
0.333 0.667 0.248 N
0.667 0.333 0.752 N
0.667 0.333 0.915 N
```

Top 6 peaks for 10° ≤ 2θ ≤ 90°, sorted by position:
17.50°, d = 5.068 Å, intensity 58
27.02°, d = 3.300 Å, intensity 38
28.91°, d = 3.089 Å, intensity 100
35.54°, d = 2.526 Å, intensity 38
39.88°, d = 2.261 Å, intensity 35
46.53°, d = 1.952 Å, intensity 30

---

[6]
GdBi2IO4: calculated powder XRD pattern (Cu Kα X-rays), based on a crystal structure in the Materials Project, relaxed with GGA-PBE.

```
GdBi2IO4
1.0
3.974 0.000 0.000
0.000 3.974 0.000
0.000 0.000 9.707
Gd Bi I O
1 2 1 4
direct
0.000 0.000 0.000 Gd
0.500 0.500 0.258 Bi
0.500 0.500 0.742 Bi
0.000 0.000 0.500 I
0.000 0.500 0.146 O
0.000 0.500 0.854 O
0.500 0.000 0.146 O
0.500 0.000 0.854 O
```

Top 6 peaks for 10° ≤ 2θ ≤ 90°, sorted by position:
29.04°, d = 3.075 Å, intensity 100
31.85°, d = 2.810 Å, intensity 32
37.04°, d = 2.427 Å, intensity 12
45.66°, d = 1.987 Å, intensity 18
49.63°, d = 1.837 Å, intensity 27
55.03°, d = 1.669 Å, intensity 34

---

[7]
Ba2AlSn3O8: calculated powder XRD pattern (Cu Kα X-rays), based on a crystal structure in the Materials Project, relaxed with GGA-PBE.

```
Ba2AlSn3O8
1.0
4.261 0.000 0.000
0.000 4.261 0.000
0.000 0.000 11.260
Ba Al Sn O
2 1 3 8
direct
0.000 0.000 0.181 Ba
0.000 0.000 0.819 Ba
0.000 0.000 0.500 Al
0.500 0.500 0.000 Sn
0.500 0.500 0.374 Sn
0.500 0.500 0.626 Sn
0.000 0.500 0.000 O
0.000 0.500 0.373 O
0.000 0.500 0.627 O
0.500 0.000 0.000 O
0.500 0.000 0.373 O
0.500 0.000 0.627 O
0.500 0.500 0.186 O
0.500 0.500 0.814 O
```

Top 6 peaks for 10° ≤ 2θ ≤ 90°, sorted by position:
26.23°, d = 3.397 Å, intensity 30
29.65°, d = 3.013 Å, intensity 67
31.77°, d = 2.816 Å, intensity 100
42.43°, d = 2.130 Å, intensity 45
50.59°, d = 1.804 Å, intensity 28
53.97°, d = 1.699 Å, intensity 47

---

[8]
MgTi2S4: calculated powder XRD pattern (Cu Kα X-rays), based on a crystal structure in the Materials Project, relaxed with GGA-PBE.

```
MgTi2S4
1.0
-3.565 3.567 4.983
3.565 -3.567 4.983
3.565 3.567 -4.983
Mg Ti S
2 4 8
direct
0.000 0.000 0.000 Mg
0.500 0.000 0.500 Mg
0.000 0.500 0.500 Ti
0.500 0.000 0.000 Ti
0.500 0.500 0.000 Ti
0.500 0.500 0.500 Ti
0.249 0.255 0.506 S
0.249 0.744 0.994 S
0.255 0.747 0.508 S
0.261 0.253 0.008 S
0.739 0.747 0.992 S
0.745 0.253 0.492 S
0.751 0.256 0.006 S
0.751 0.745 0.494 S
```

Top 6 peaks for 10° ≤ 2θ ≤ 90°, sorted by position:
15.28°, d = 5.800 Å, intensity 46
35.61°, d = 2.521 Å, intensity 100
36.05°, d = 2.492 Å, intensity 48
51.24°, d = 1.783 Å, intensity 32
51.57°, d = 1.772 Å, intensity 62
64.24°, d = 1.450 Å, intensity 30